Entry 1:
Tl2Hg4Bi3: computed PXRD pattern (CuKα), based on a DFT-relaxed cell (PBE, Alexandria).
Peak positions follow from Bragg's law for the DFT cell and can differ from measured ones.

Top 10 peaks for 10° ≤ 2θ ≤ 80°, in order of rising 2θ:
hkl	2θ (°)	intensity
1 1 -1	30.71	58
1 -1 2	30.85	58
0 1 3	31.05	59
1 2 2	33.26	100
2 0 1	35.82	45
0 3 0	43.69	20
-2 1 2	48.05	18
2 1 4	48.19	18
0 2 -3	51.28	13
3 2 3	62.74	17

Cell and atoms:
a b c (Å): 5.0141 6.5863 9.0437
angles (deg): 71.41 74.09 89.88
Space group P-1 (No. 2)
Symmetry-distinct sites (fractional):
Tl  0.2149  0.2990  0.0682 x2
Hg  0.1164  0.6759  0.2639 x2
Hg  0.3488  0.0238  0.8054 x2
Bi  0.0000  0.0000  0.5000 x1
Bi  0.4410  0.6406  0.6205 x2

---

Entry 2:
HfZn8Au2: computed PXRD pattern (CuKα), based on a DFT-relaxed cell (PBE, Alexandria).
Peak positions follow from Bragg's law for the DFT cell and can differ from measured ones.

Top 10 peaks for 10° ≤ 2θ ≤ 80°, in order of rising 2θ:
hkl	2θ (°)	intensity
0 1 1	15.90	47
0 2 0	29.27	25
1 2 0	32.67	29
0 2 -1	37.89	44
1 0 -2	40.01	100
1 1 3	40.11	99
2 1 1	40.25	56
2 -1 2	56.45	21
3 1 -1	72.93	16
1 5 0	76.80	17

Cell and atoms:
a b c (Å): 4.4815 7.0196 7.0217
angles (deg): 62.56 71.54 71.60
Space group P-1 (No. 2)
Symmetry-distinct sites (fractional):
Hf  0.0000  0.0000  0.0000 x1
Zn  0.1326  0.1855  0.5446 x2
Zn  0.1353  0.5445  0.1841 x2
Zn  0.2791  0.7207  0.7197 x2
Zn  0.3402  0.1601  0.1610 x2
Au  0.4987  0.2865  0.7139 x2

---

Entry 3:
MgZnAu14: computed PXRD pattern (CuKα), based on a DFT-relaxed cell (PBE, Alexandria).
Peak positions follow from Bragg's law for the DFT cell and can differ from measured ones.

Top 10 peaks for 10° ≤ 2θ ≤ 80°, in order of rising 2θ:
hkl	2θ (°)	intensity
0 0 1	11.51	3
1 1 0	20.62	2
1 1 1	23.68	3
2 0 1	31.60	2
2 0 2	37.68	100
2 2 0	41.95	37
0 0 4	47.29	13
4 0 0	60.83	13
2 2 4	65.04	21
4 2 2	73.81	29

Cell and atoms:
a b c (Å): 6.0910 6.0910 7.6891
angles (deg): 90.00 90.00 90.00
Space group P4/mmm (No. 123)
Symmetry-distinct sites (fractional):
Mg  0.0000  0.0000  0.0000 x1
Zn  0.5000  0.5000  0.0000 x1
Au  0.0000  0.0000  0.5000 x1
Au  0.0000  0.5000  0.0000 x2
Au  0.0000  0.5000  0.5000 x2
Au  0.2514  0.2514  0.2443 x8
Au  0.5000  0.5000  0.5000 x1

---

Which formula does entry 1 have? Tl2Hg4Bi3